Rb3FeTe3: simulated powder X-ray diffraction pattern (Cu Kα, 1.54184 Å), based on a cell relaxed with PBE.
Neutral-atom scattering factors, no anomalous dispersion.

```
Rb3FeTe3
1.0
10.8276 -3.7972 0.0000
10.8276 3.7972 0.0000
0.0000 0.0000 14.6558
Rb Fe Te
12 4 12
direct
0.0038 0.3459 0.8709
0.1541 0.4962 0.6291
0.1674 0.8326 0.8415
0.3326 0.6674 0.3415
0.3459 0.0038 0.1291
0.4962 0.1541 0.3709
0.5038 0.8459 0.6291
0.6541 0.9962 0.8709
0.6674 0.3326 0.6585
0.8326 0.1674 0.1585
0.8459 0.5038 0.3709
0.9962 0.6541 0.1291
0.0824 0.0824 0.5000
0.4176 0.4176 0.0000
0.5824 0.5824 0.0000
0.9176 0.9176 0.5000
0.0149 0.6804 0.3869
0.1804 0.5149 0.8869
0.1959 0.8041 0.5886
0.3041 0.6959 0.0886
0.3196 0.9851 0.3869
0.4851 0.8196 0.8869
0.5149 0.1804 0.1131
0.6804 0.0149 0.6131
0.6959 0.3041 0.9114
0.8041 0.1959 0.4114
0.8196 0.4851 0.1131
0.9851 0.3196 0.6131
```

Main lines, by angle (2θ = 5–70°):
d_spacing	Position (°2θ)	Rel. int.
3.666	24.28	100
3.609	24.67	99
3.480	25.60	62
3.041	29.37	56
3.000	29.78	59
2.572	34.89	97

RbVFe2: simulated powder X-ray diffraction pattern (Cu Kα, 1.54184 Å), based on a cell relaxed with PBE.
Neutral-atom scattering factors, no anomalous dispersion.

```
RbVFe2
1.0
-2.5281 2.5281 8.0961
2.5281 -2.5281 8.0961
2.5281 2.5281 -8.0961
Rb V Fe
2 2 4
direct
0.3750 0.6250 0.7500
0.6250 0.3750 0.2500
0.1250 0.8750 0.2500
0.8750 0.1250 0.7500
0.0000 0.0000 0.0000
0.0000 0.0000 0.5000
0.0000 0.5000 0.0000
0.5000 0.0000 0.5000
```

Main lines, by angle (2θ = 5–70°):
d_spacing	Position (°2θ)	Rel. int.
3.690	24.12	52
3.271	27.27	100
2.413	37.26	32
2.154	41.94	30
2.144	42.14	29
1.635	56.25	41

RbYFe2: simulated powder X-ray diffraction pattern (Cu Kα, 1.54184 Å), based on a cell relaxed with PBE.
Neutral-atom scattering factors, no anomalous dispersion.

```
RbYFe2
1.0
-2.5203 2.5203 9.6317
2.5203 -2.5203 9.6317
2.5203 2.5203 -9.6317
Rb Y Fe
2 2 4
direct
0.3750 0.6250 0.7500
0.6250 0.3750 0.2500
0.1250 0.8750 0.2500
0.8750 0.1250 0.7500
0.0000 0.0000 0.0000
0.0000 0.0000 0.5000
0.0000 0.5000 0.0000
0.5000 0.0000 0.5000
```

Main lines, by angle (2θ = 5–70°):
d_spacing	Position (°2θ)	Rel. int.
4.876	18.19	33
3.343	26.67	100
2.408	37.35	28
2.385	37.71	39
2.233	40.39	32
1.671	54.93	36

Fe12Re17: simulated powder X-ray diffraction pattern (Cu Kα, 1.54184 Å), based on a cell relaxed with PBE.
Neutral-atom scattering factors, no anomalous dispersion.

```
Fe12Re17
1.0
-4.5737 4.5737 4.5737
4.5737 -4.5737 4.5737
4.5737 4.5737 -4.5737
Fe Re
12 17
direct
0.0000 0.1863 0.3617
0.0000 0.3617 0.1863
0.1754 0.8137 0.8137
0.1863 0.0000 0.3617
0.1863 0.3617 0.0000
0.3617 0.0000 0.1863
0.3617 0.1863 0.0000
0.6383 0.6383 0.8246
0.6383 0.8246 0.6383
0.8137 0.1754 0.8137
0.8137 0.8137 0.1754
0.8246 0.6383 0.6383
0.0000 0.0000 0.0000
0.0000 0.0000 0.6415
0.0000 0.3947 0.6833
0.0000 0.6415 0.0000
0.0000 0.6833 0.3947
0.2885 0.6053 0.6053
0.3167 0.3167 0.7115
0.3167 0.7115 0.3167
0.3585 0.3585 0.3585
0.3947 0.0000 0.6833
0.3947 0.6833 0.0000
0.6053 0.2885 0.6053
0.6053 0.6053 0.2885
0.6415 0.0000 0.0000
0.6833 0.0000 0.3947
0.6833 0.3947 0.0000
0.7115 0.3167 0.3167
```

Main lines, by angle (2θ = 5–70°):
d_spacing	Position (°2θ)	Rel. int.
3.734	23.83	16
2.156	41.90	100
1.950	46.57	7
1.867	48.77	8
1.794	50.90	5
1.525	60.75	9

FeRe3: simulated powder X-ray diffraction pattern (Cu Kα, 1.54184 Å), based on a cell relaxed with PBE.
Neutral-atom scattering factors, no anomalous dispersion.

```
FeRe3
1.0
2.7243 0.0000 0.0000
0.0000 3.8425 0.0000
0.0000 0.0000 5.4085
Fe Re
1 3
direct
0.0000 0.0000 0.0000
0.0000 0.0000 0.5000
0.5000 0.5000 0.2390
0.5000 0.5000 0.7610
```

Main lines, by angle (2θ = 5–70°):
d_spacing	Position (°2θ)	Rel. int.
5.409	16.39	12
3.132	28.49	15
2.222	40.59	100
2.211	40.80	97
1.920	47.35	96
1.358	69.19	41

FeRe2: simulated powder X-ray diffraction pattern (Cu Kα, 1.54184 Å), based on a cell relaxed with PBE.
Neutral-atom scattering factors, no anomalous dispersion.

```
FeRe2
1.0
-1.3315 1.9447 4.0311
1.3315 -1.9447 4.0311
1.3315 1.9447 -4.0311
Fe Re
1 2
direct
0.0000 0.0000 0.0000
0.3361 0.3361 0.0000
0.6639 0.6639 0.0000
```

Main lines, by angle (2θ = 5–70°):
d_spacing	Position (°2θ)	Rel. int.
3.503	25.43	31
2.211	40.81	100
2.197	41.08	98
1.945	46.71	34
1.892	48.10	62
1.356	69.30	42